Theoretical PXRD pattern
Compound: NaTe3Mo3
Radiation: λ = 1.5418 Å (Cu Kα)
Structure: DFT lattice parameters and positions (GGA-PBE)

Cell and atoms:
```
data_NaTe3Mo3
_chemical_formula_sum 'Na2 Te6 Mo6'
_cell_length_a 9.3877
_cell_length_b 9.3877
_cell_length_c 4.6230
_cell_angle_alpha 90.00
_cell_angle_beta 90.00
_cell_angle_gamma 120.00
_space_group_name_H-M_alt 'P 1'
_space_group_IT_number 1
loop_
_space_group_symop_operation_xyz
'x,y,z'
loop_
_atom_site_label
_atom_site_type_symbol
_atom_site_fract_x
_atom_site_fract_y
_atom_site_fract_z
_atom_site_occupancy
Na1 Na 0.3333 0.6667 0.2500 1
Na2 Na 0.6667 0.3333 0.7500 1
Te1 Te 0.0852 0.3834 0.7500 1
Te2 Te 0.2982 0.9148 0.7500 1
Te3 Te 0.3834 0.2982 0.2500 1
Te4 Te 0.6166 0.7018 0.7500 1
Te5 Te 0.7018 0.0852 0.2500 1
Te6 Te 0.9148 0.6166 0.2500 1
Mo1 Mo 0.0417 0.1807 0.2500 1
Mo2 Mo 0.1390 0.9583 0.2500 1
Mo3 Mo 0.1807 0.1390 0.7500 1
Mo4 Mo 0.8193 0.8610 0.2500 1
Mo5 Mo 0.8610 0.0417 0.7500 1
Mo6 Mo 0.9583 0.8193 0.7500 1
```

Largest 10 diffraction maxima, in order of falling intensity, 10 to 80 degrees two-theta:
2θ = 10.88°, rel. 100.0
2θ = 44.72°, rel. 50.7
2θ = 35.06°, rel. 44.9
2θ = 29.06°, rel. 33.5
2θ = 27.07°, rel. 32.7
2θ = 38.96°, rel. 26.2
2θ = 43.23°, rel. 20.0
2θ = 49.33°, rel. 15.2
2θ = 39.98°, rel. 14.7
2θ = 38.51°, rel. 13.2